Record 1
Starting from a DFT-relaxed cell (GGA-PBE, Alexandria), the PXRD pattern of La8NiPt3I4 was simulated for Cu Kα, 1.54184 Å.

Main lines, by angle (2θ from 10° to 80°):
2θ (°), I/Imax
10.73, 21.0
27.92, 100.0
34.97, 13.7
37.79, 29.0
41.92, 38.3
51.12, 18.8
54.09, 8.7
57.70, 10.7
68.17, 15.6
73.83, 10.0

Structure:
abc: 8.6225 8.6225 9.6334
angles: 116.64 116.64 59.97
Fractional positions:
La (0.2260, 0.2260, 0.6858)
La (0.2257, 0.7347, 0.6856)
La (0.2653, 0.7743, 0.3144)
La (0.2704, 0.2704, 0.3117)
La (0.7296, 0.7296, 0.6883)
La (0.7347, 0.2257, 0.6856)
La (0.7743, 0.2653, 0.3144)
La (0.7740, 0.7740, 0.3142)
Ni (0.0000, 0.0000, 0.5000)
Pt (0.0000, 0.5000, 0.5000)
Pt (0.5000, 0.0000, 0.5000)
Pt (0.5000, 0.5000, 0.5000)
I (0.0000, 0.0000, 0.0000)
I (0.0000, 0.5000, 0.0000)
I (0.5000, 0.0000, 0.0000)
I (0.5000, 0.5000, 0.0000)

=====

Record 2
Starting from a DFT-relaxed cell (GGA-PBE, Alexandria), the PXRD pattern of ZnNi6Pt2 was simulated for Cu Kα, 1.54184 Å.

Main lines, by angle (2θ from 10° to 80°):
2θ (°), I/Imax
15.75, 23.7
26.51, 28.7
37.15, 32.0
38.54, 100.0
40.58, 91.2
43.16, 19.5
46.22, 78.3
53.52, 27.5
67.89, 33.4
79.14, 42.2

Structure:
abc: 4.8406 4.8406 5.6268
angles: 90.00 90.00 120.00
Fractional positions:
Zn (0.0000, 0.0000, 0.0000)
Ni (0.1725, 0.3451, 0.3344)
Ni (0.1725, 0.8275, 0.3344)
Ni (0.3451, 0.1725, 0.6656)
Ni (0.6549, 0.8275, 0.3344)
Ni (0.8275, 0.1725, 0.6656)
Ni (0.8275, 0.6549, 0.6656)
Pt (0.3333, 0.6667, 0.8951)
Pt (0.6667, 0.3333, 0.1049)

=====

Record 3
Starting from a DFT-relaxed cell (GGA-PBE, Alexandria), the PXRD pattern of Ce8Sn4Bi3 was simulated for Cu Kα, 1.54184 Å.

Main lines, by angle (2θ from 10° to 80°):
2θ (°), I/Imax
27.83, 100.0
39.75, 65.0
39.84, 12.9
49.17, 14.2
49.29, 14.0
57.46, 8.9
64.99, 12.4
65.07, 21.5
72.10, 13.8
72.25, 13.6

Structure:
abc: 9.0642 9.0642 9.0518
angles: 119.90 119.90 90.06
Fractional positions:
Ce (0.2466, 0.7534, 0.0000)
Ce (0.2483, 0.2483, 0.4910)
Ce (0.2499, 0.2499, 0.0049)
Ce (0.2520, 0.7480, 0.5000)
Ce (0.7480, 0.2520, 0.5000)
Ce (0.7501, 0.7501, 0.9951)
Ce (0.7517, 0.7517, 0.5090)
Ce (0.7534, 0.2466, 0.0000)
Sn (0.0000, 0.0000, 0.0000)
Sn (0.0000, 0.5000, 0.0000)
Sn (0.5000, 0.0000, 0.0000)
Sn (0.5000, 0.5000, 0.5000)
Bi (0.0000, 0.0000, 0.5000)
Bi (0.0000, 0.5000, 0.5000)
Bi (0.5000, 0.0000, 0.5000)

=====

Record 4
Starting from a DFT-relaxed cell (GGA-PBE, Alexandria), the PXRD pattern of Ho4Bi5H2 was simulated for Cu Kα, 1.54184 Å.

Main lines, by angle (2θ from 10° to 80°):
2θ (°), I/Imax
23.04, 36.8
25.35, 46.6
28.72, 46.0
30.17, 24.7
33.25, 100.0
33.95, 43.4
35.05, 91.4
35.82, 31.3
45.80, 35.2
65.22, 24.3

Structure:
abc: 8.8050 8.8050 8.9268
angles: 95.25 95.25 26.01
Fractional positions:
Ho (0.0331, 0.0331, 0.2295)
Ho (0.2916, 0.2916, 0.7981)
Ho (0.7084, 0.7084, 0.2019)
Ho (0.9669, 0.9669, 0.7705)
Bi (0.1329, 0.1329, 0.9430)
Bi (0.1712, 0.1712, 0.5007)
Bi (0.5000, 0.5000, 0.5000)
Bi (0.8288, 0.8288, 0.4993)
Bi (0.8671, 0.8671, 0.0570)
H (0.4167, 0.4167, 0.7950)
H (0.5833, 0.5833, 0.2050)